Diffraction record for Sr2MgCu4O6. The XRD peak list is simulated, not measured: it uses a PBE-relaxed structure and Cu Kα, 1.54184 Å.

Atomic structure:
a b c (Å): 3.312 3.945 13.182
angles (deg): 81.49 89.93 89.98
Atoms (fractional coordinates):
Sr1 0.007 0.144 0.223
Sr2 0.993 0.856 0.777
Mg1 0.000 0.000 0.500
Cu1 0.494 0.286 0.924
Cu2 0.495 0.438 0.612
Cu3 0.505 0.562 0.388
Cu4 0.506 0.714 0.076
O1 0.491 0.356 0.776
O2 0.494 0.784 0.929
O3 0.498 0.942 0.605
O4 0.502 0.058 0.395
O5 0.506 0.216 0.071
O6 0.509 0.644 0.224

Peak list (6 most intense, 15° ≤ 2θ ≤ 90°, in order of rising 2θ)
| 2θ (°) | d (Å) | Rel. int. |
| --- | --- | --- |
| 30.27 | 2.953 | 54 |
| 33.08 | 2.708 | 95 |
| 35.56 | 2.525 | 100 |
| 36.92 | 2.435 | 34 |
| 38.76 | 2.323 | 59 |
| 46.02 | 1.972 | 47 |